This entry pairs a crystal structure of CaCr2Mo with its theoretical powder XRD pattern. Radiation: λ = 1.5418 Å (Cu Kα). Structure: the PBE geometry in Alexandria.
Neutral-atom scattering factors, no anomalous dispersion.

Structural model:
```
CaCr2Mo
1.0
3.1655 0.0000 0.0000
0.0000 3.1655 0.0000
0.0000 0.0000 7.5058
Ca Cr Mo
1 2 1
direct
0.0000 0.0000 0.0000
0.5000 0.5000 0.3162
0.5000 0.5000 0.6838
0.0000 0.0000 0.5000
```

Top 6 peaks for 10 to 90 degrees two-theta, low angle first:
- 2θ = 11.79°, I = 87.8, hkl 0 0 1
- 2θ = 37.16°, I = 100.0, hkl 1 0 2
- 2θ = 40.29°, I = 53.3, hkl 1 1 0
- 2θ = 46.25°, I = 28.6, hkl 1 0 3
- 2θ = 58.30°, I = 16.5, hkl 2 0 0
- 2θ = 71.19°, I = 26.0, hkl 2 1 2